Theoretical X-ray diffraction stick pattern of KCoF4 for a wavelength of 1.5418 Å, from the GGA+U geometry in Alexandria.

Principal peaks in the range 2θ from 10° to 80°, sorted by position:
- 5.880 Å, rel. 25
- 3.858 Å, rel. 23
- 3.225 Å, rel. 100
- 2.728 Å, rel. 26
- 1.929 Å, rel. 25
- 1.655 Å, rel. 28

Cell and atoms:
```
data_KCoF4
_chemical_formula_sum 'K4 Co4 F16'
_space_group_name_H-M_alt 'P 4 21 2'
_space_group_IT_number 90
_cell_length_a 7.7156
_cell_length_b 7.7156
_cell_length_c 5.8795
_cell_angle_alpha 90.00
_cell_angle_beta 90.00
_cell_angle_gamma 90.00
loop_
_space_group_symop_operation_xyz
'x,y,z'
'-y+1/2,x+1/2,z'
'-x,-y,z'
'y+1/2,-x+1/2,z'
'x+1/2,-y+1/2,-z'
'-y,-x,-z'
'-x+1/2,y+1/2,-z'
'y,x,-z'
loop_
_atom_site_label
_atom_site_type_symbol
_atom_site_fract_x
_atom_site_fract_y
_atom_site_fract_z
K1 K 0.0000 0.0000 0.0000
K2 K 0.0000 0.5000 0.0691
Co1 Co 0.2492 0.2492 0.5000
F1 F 0.0010 0.7613 0.3959
F2 F 0.1901 0.3067 0.7891
```